Diffraction record for TmScW. The powder XRD pattern is theoretical, not measured: it uses DFT lattice parameters and positions (GGA-PBE) and Cu Kα X-rays.
Intensities are scaled so that the largest is 100.

Structure:
```
TmScW
1.0
0.000 3.320 3.320
3.320 0.000 3.320
3.320 3.320 0.000
Tm Sc W
1 1 1
direct
0.000 0.000 0.000
0.500 0.500 0.500
0.750 0.750 0.750
```

Main lines, by angle (2θ = 5–70°):
| d (Å) | I_rel |
| --- | --- |
| 3.833 | 74 |
| 3.320 | 1 |
| 2.347 | 100 |
| 2.002 | 39 |
| 1.660 | 17 |
| 1.523 | 17 |
| 1.355 | 35 |


Diffraction record for ScW5. The powder XRD pattern is theoretical, not measured: it uses DFT lattice parameters and positions (GGA-PBE) and Cu Kα X-rays.
Intensities are scaled so that the largest is 100.

Structure:
```
ScW5
1.0
4.851 0.000 0.000
-2.425 4.201 0.000
0.000 0.000 4.998
Sc W
1 5
direct
0.000 0.000 0.000
0.000 0.662 0.500
0.333 0.667 0.000
0.338 0.338 0.500
0.662 0.000 0.500
0.667 0.333 0.000
```

Main lines, by angle (2θ = 5–70°):
| d (Å) | I_rel |
| --- | --- |
| 4.998 | 4 |
| 4.201 | 8 |
| 3.216 | 7 |
| 2.499 | 33 |
| 2.425 | 24 |
| 2.182 | 100 |
| 2.148 | 3 |
| 1.740 | 18 |
| 1.400 | 16 |
| 1.373 | 23 |


Diffraction record for ScW. The powder XRD pattern is theoretical, not measured: it uses DFT lattice parameters and positions (GGA-PBE) and Cu Kα X-rays.
Intensities are scaled so that the largest is 100.

Structure:
```
ScW
1.0
2.920 0.000 0.000
-1.460 2.528 0.000
0.000 0.000 4.961
Sc W
1 1
direct
0.000 0.000 0.000
0.667 0.333 0.500
```

Main lines, by angle (2θ = 5–70°):
| d (Å) | I_rel |
| --- | --- |
| 4.961 | 52 |
| 2.528 | 43 |
| 2.481 | 26 |
| 2.253 | 100 |
| 1.771 | 31 |
| 1.654 | 3 |
| 1.460 | 15 |
| 1.400 | 10 |
| 1.384 | 21 |


Diffraction record for ZrScW2. The powder XRD pattern is theoretical, not measured: it uses DFT lattice parameters and positions (GGA-PBE) and Cu Kα X-rays.
Intensities are scaled so that the largest is 100.

Structure:
```
ZrScW2
1.0
0.000 3.323 3.323
3.323 0.000 3.323
3.323 3.323 0.000
Zr Sc W
1 1 2
direct
0.000 0.000 0.000
0.750 0.750 0.750
0.250 0.250 0.250
0.500 0.500 0.500
```

Main lines, by angle (2θ = 5–70°):
| d (Å) | I_rel |
| --- | --- |
| 3.837 | 25 |
| 3.323 | 1 |
| 2.349 | 100 |
| 2.004 | 14 |
| 1.661 | 17 |
| 1.525 | 6 |
| 1.356 | 35 |


Diffraction record for ScZn3. The powder XRD pattern is theoretical, not measured: it uses DFT lattice parameters and positions (GGA-PBE) and Cu Kα X-rays.
Intensities are scaled so that the largest is 100.

Structure:
```
ScZn3
1.0
0.000 3.167 3.167
3.167 0.000 3.167
3.167 3.167 0.000
Sc Zn
1 3
direct
0.000 0.000 0.000
0.250 0.250 0.250
0.500 0.500 0.500
0.750 0.750 0.750
```

Main lines, by angle (2θ = 5–70°):
| d (Å) | I_rel |
| --- | --- |
| 3.657 | 2 |
| 3.167 | 1 |
| 2.239 | 100 |
| 1.910 | 1 |
| 1.583 | 16 |
| 1.453 | 1 |
| 1.416 | 1 |


Diffraction record for Zr5Sc2Zn. The powder XRD pattern is theoretical, not measured: it uses DFT lattice parameters and positions (GGA-PBE) and Cu Kα X-rays.
Intensities are scaled so that the largest is 100.

Structure:
```
Zr5Sc2Zn
1.0
5.047 0.000 0.000
0.000 3.190 5.553
0.000 -3.190 5.553
Zr Sc Zn
5 2 1
direct
0.000 0.000 0.000
0.000 0.509 0.994
0.000 0.994 0.509
0.500 0.165 0.678
0.500 0.678 0.165
0.000 0.509 0.509
0.500 0.168 0.168
0.500 0.668 0.668
```

Main lines, by angle (2θ = 5–70°):
| d (Å) | I_rel |
| --- | --- |
| 3.733 | 10 |
| 2.776 | 13 |
| 2.766 | 23 |
| 2.524 | 37 |
| 2.433 | 49 |
| 2.426 | 100 |
| 1.865 | 22 |
| 1.601 | 17 |
| 1.438 | 27 |
| 1.352 | 19 |